# VCuSO
Theoretical XRD peak list, Cu Kα (λ = 1.5418 Å). Input: a crystal structure in Alexandria, relaxed with PBE+U.

Peak list (8 most intense, 2θ = 15–90°, by angle)
| 2θ/deg | d (Å) | I/Imax | (hkl) |
| --- | --- | --- | --- |
| 28.3 | 3.149 | 15 | 4 0 0 |
| 31.7 | 2.825 | 28 | 2 0 -2 |
| 32.0 | 2.799 | 14 | 1 1 -1 |
| 33.9 | 2.644 | 100 | 1 1 1 |
| 39.0 | 2.312 | 15 | 2 0 2 |
| 41.7 | 2.165 | 15 | 6 0 -1 |
| 56.3 | 1.635 | 21 | 1 1 -3 |
| 57.2 | 1.611 | 13 | 0 2 0 |

Structure:
Cell lengths 13.079, 3.222, 5.737 Å; angles 90.00, 105.58, 90.00 degrees
Space group C2/m (No. 12)
Symmetry-distinct sites (fractional):
V 0.000 0.000 0.000 x2
V 0.000 0.500 0.500 x2
Cu 0.216 0.000 0.787 x4
S 0.123 0.500 0.231 x4
O 0.067 0.000 0.713 x4